Entry 1:
Diffraction record for Mg4In5Ga. The powder X-ray diffraction pattern is calculated, not measured: it uses the GGA-PBE geometry in Alexandria and CuKα.
Peak positions follow from Bragg's law for the DFT cell and can differ from measured ones.

Structural model:
Unit cell a=5.539 b=6.470 c=7.184 alpha=75.70 beta=73.36 gamma=74.17
Fractional coordinates of all 10 atoms:
Mg: 0.101 0.397 0.308
Mg: 0.302 0.203 0.893
Mg: 0.698 0.797 0.107
Mg: 0.899 0.603 0.692
In: 0.110 0.892 0.296
In: 0.296 0.689 0.896
In: 0.500 0.000 0.500
In: 0.704 0.311 0.104
In: 0.890 0.108 0.704
Ga: 0.500 0.500 0.500

Top 6 peaks for 15° ≤ 2θ ≤ 90°, most intense first:
h k l	Position (°2θ)	d [Å]	I_rel
1 2 2	33.75	2.656	100.0
2 0 1	34.03	2.634	98.7
0 2 -1	34.31	2.614	96.5
1 0 -2	34.92	2.570	92.1
1 1 0	19.89	4.464	76.0
-1 2 1	39.17	2.300	66.0

---

Entry 2:
Diffraction record for Mg4InGa5. The powder X-ray diffraction pattern is calculated, not measured: it uses the GGA-PBE geometry in Alexandria and CuKα.
Peak positions follow from Bragg's law for the DFT cell and can differ from measured ones.

Structural model:
Unit cell a=9.145 b=9.937 c=4.613 alpha=90.00 beta=90.00 gamma=90.00
Fractional coordinates of all 20 atoms:
Mg: 0.049 0.250 0.248
Mg: 0.250 0.572 0.776
Mg: 0.250 0.928 0.776
Mg: 0.451 0.250 0.248
Mg: 0.549 0.750 0.752
Mg: 0.750 0.072 0.224
Mg: 0.750 0.428 0.224
Mg: 0.951 0.750 0.752
In: 0.250 0.250 0.749
In: 0.750 0.750 0.251
Ga: 0.025 0.570 0.252
Ga: 0.025 0.930 0.252
Ga: 0.250 0.750 0.282
Ga: 0.475 0.570 0.252
Ga: 0.475 0.930 0.252
Ga: 0.525 0.070 0.748
Ga: 0.525 0.430 0.748
Ga: 0.750 0.250 0.718
Ga: 0.975 0.070 0.748
Ga: 0.975 0.430 0.748

Top 6 peaks for 15° ≤ 2θ ≤ 90°, most intense first:
h k l	Position (°2θ)	d [Å]	I_rel
2 3 1	38.84	2.319	100.0
0 1 1	21.24	4.184	44.7
2 2 0	26.49	3.365	39.0
0 0 2	39.05	2.306	27.0
4 0 0	39.41	2.286	19.5
3 0 1	35.29	2.543	15.5

---

Repeat the first record exactly.
Diffraction record for Mg4In5Ga. The powder X-ray diffraction pattern is calculated, not measured: it uses the GGA-PBE geometry in Alexandria and CuKα.
Peak positions follow from Bragg's law for the DFT cell and can differ from measured ones.

Structural model:
Unit cell a=5.539 b=6.470 c=7.184 alpha=75.70 beta=73.36 gamma=74.17
Fractional coordinates of all 10 atoms:
Mg: 0.101 0.397 0.308
Mg: 0.302 0.203 0.893
Mg: 0.698 0.797 0.107
Mg: 0.899 0.603 0.692
In: 0.110 0.892 0.296
In: 0.296 0.689 0.896
In: 0.500 0.000 0.500
In: 0.704 0.311 0.104
In: 0.890 0.108 0.704
Ga: 0.500 0.500 0.500

Top 6 peaks for 15° ≤ 2θ ≤ 90°, most intense first:
h k l	Position (°2θ)	d [Å]	I_rel
1 2 2	33.75	2.656	100.0
2 0 1	34.03	2.634	98.7
0 2 -1	34.31	2.614	96.5
1 0 -2	34.92	2.570	92.1
1 1 0	19.89	4.464	76.0
-1 2 1	39.17	2.300	66.0